NaTaAlP3O12: theoretical XRD peak list (λ = 1.5418 Å (Cu Kα)), based on a DFT-relaxed cell (PBE, the Materials Project).
Lines closer than 0.1° are merged.

Top 10 peaks for 2θ = 10–90°, in order of rising 2θ:
hkl  2θ/deg  I/Imax
0 1 2  14.4  100
1 0 4  20.0  70
1 1 0  20.8  75
1 1 3  24.0  53
2 0 2  25.4  28
0 2 4  29.0  43
1 1 6  32.0  69
1 2 2  33.0  24
3 0 0  36.4  25
2 2 6  49.2  26

Atomic structure:
```
data_NaTaAlP3O12
_symmetry_space_group_name_H-M 'R 3 c'
_symmetry_Int_Tables_number 161
_symmetry_space_group_name_Hall 'R 3 -2"c'
_cell_length_a 8.5503
_cell_length_b 8.5503
_cell_length_c 22.2246
_cell_angle_alpha 90.00
_cell_angle_beta 90.00
_cell_angle_gamma 120.00
loop_
_atom_site_label
_atom_site_fract_x
_atom_site_fract_y
_atom_site_fract_z
Na1 0.0000 0.0000 0.0000
Ta1 0.0000 0.0000 0.1497
Al1 0.0000 0.0000 0.3593
P1 0.0542 0.3744 0.4244
O1 0.0265 0.1994 0.7002
O2 0.0295 0.1880 0.4145
O3 0.1622 0.4705 0.7626
O4 0.1666 0.4659 0.4796
```